[1]
Diffraction record for Ho2ZnCoHg. The powder diffraction line list is calculated, not measured: it uses the GGA-PBE geometry in Alexandria and Cu Kα X-rays.
No peak broadening, texture or thermal motion is included.

Atomic structure:
Cell lengths 7.8378, 3.8042, 8.0114 Å; angles 90.00, 115.59, 90.00 degrees
Space group P2_1/m (No. 11)
Asymmetric unit:
Ho (0.0013, 0.2500, 0.2083) (multiplicity 2)
Ho (0.3407, 0.7500, 0.6078) (multiplicity 2)
Zn (0.3518, 0.2500, 0.9195) (multiplicity 2)
Co (0.0796, 0.2500, 0.5866) (multiplicity 2)
Hg (0.3145, 0.7500, 0.1943) (multiplicity 2)

Principal peaks in the range 10° ≤ 2θ ≤ 90°, by angle:
2θ/deg  I/Imax  h k l
26.6  71  1 1 0
31.7  37  1 1 1
32.8  100  2 1 -1
33.7  42  1 0 -3
34.6  43  2 1 0
35.7  69  2 1 -2
38.2  69  3 0 0
40.3  86  1 1 2
41.5  39  1 1 -3
47.8  46  0 2 0

[2]
Diffraction record for Zr4Zn3Cd. The powder diffraction line list is calculated, not measured: it uses the GGA-PBE geometry in Alexandria and Cu Kα X-rays.
No peak broadening, texture or thermal motion is included.

Atomic structure:
Cell lengths 4.7899, 4.7899, 6.8015 Å; angles 90.00, 90.00, 90.00 degrees
Space group P4/mmm (No. 123)
Asymmetric unit:
Zr (0.0000, 0.5000, 0.2419) (multiplicity 4)
Zn (0.0000, 0.0000, 0.0000) (multiplicity 1)
Zn (0.0000, 0.0000, 0.5000) (multiplicity 1)
Zn (0.5000, 0.5000, 0.0000) (multiplicity 1)
Cd (0.5000, 0.5000, 0.5000) (multiplicity 1)

Principal peaks in the range 10° ≤ 2θ ≤ 90°, by angle:
2θ/deg  I/Imax  h k l
18.5  1  1 0 0
22.7  1  1 0 1
29.5  1  1 1 1
37.5  100  2 0 0
53.9  6  0 0 4
54.2  11  2 2 0
67.6  11  2 0 4
67.7  22  3 1 2
80.0  7  2 2 4
80.1  3  4 0 0

[3]
Diffraction record for LiEr4In. The powder diffraction line list is calculated, not measured: it uses the GGA-PBE geometry in Alexandria and Cu Kα X-rays.
No peak broadening, texture or thermal motion is included.

Atomic structure:
Cell lengths 5.0068, 5.0068, 7.4392 Å; angles 90.00, 90.00, 90.00 degrees
Space group P4/mmm (No. 123)
Asymmetric unit:
Li (0.0000, 0.0000, 0.0000) (multiplicity 1)
Er (0.0000, 0.5000, 0.2457) (multiplicity 4)
In (0.5000, 0.5000, 0.5000) (multiplicity 1)

Principal peaks in the range 10° ≤ 2θ ≤ 90°, by angle:
2θ/deg  I/Imax  h k l
23.9  31  0 0 2
25.2  55  1 1 0
35.0  100  1 1 2
35.9  47  2 0 0
43.6  26  2 0 2
51.6  17  2 2 0
55.8  12  1 1 4
57.7  11  2 2 2
62.2  19  2 0 4
63.9  35  3 1 2